Structure and calculated powder XRD pattern of InGaCl (a DFT-relaxed cell (PBE, Alexandria); Cu Kα).
Lines closer than 0.1° are merged.

Atomic structure:
Unit cell a=4.7121 b=5.9472 c=6.9366 alpha=73.47 beta=89.80 gamma=72.13
Space group P-1 (No. 2)
Unique sites:
In 0.2270 0.0480 0.3454
Ga 0.2416 0.0309 0.8894
Cl 0.1554 0.4741 0.7536

Top 8 peaks for 2θ = 5–70°, in order of falling intensity:
| 2θ/deg | d/Å | I_rel |
| --- | --- | --- |
| 16.4 | 5.404 | 100.0 |
| 32.1 | 2.788 | 79.3 |
| 33.2 | 2.702 | 33.3 |
| 35.5 | 2.529 | 25.2 |
| 40.4 | 2.233 | 19.5 |
| 38.4 | 2.344 | 18.8 |
| 35.2 | 2.550 | 17.5 |
| 48.1 | 1.892 | 15.7 |